No. 1
Structure and computed powder diffraction line list of LiYAg (a DFT-relaxed cell (PBE, Alexandria); Cu Kα (weighted mean of Kα1 and Kα2)).
Neutral-atom scattering factors, no anomalous dispersion.

Atomic structure:
```
LiYAg
1.0
8.0717 0.0000 0.0000
0.0000 8.0717 0.0000
0.0000 0.0000 4.2014
Li Y Ag
4 4 4
Cartesian
0.7408 6.8550 0.0000
1.2166 0.7408 2.1007
6.8550 7.3309 2.1007
7.3309 1.2166 0.0000
1.8946 3.4380 0.0000
3.4380 6.1771 2.1007
4.6337 1.8946 2.1007
6.1771 4.6337 0.0000
0.5254 5.3143 2.1007
2.7574 0.5254 0.0000
5.3143 7.5462 0.0000
7.5462 2.7574 2.1007
```

Most intense lines, 10 to 90 degrees two-theta, in order of rising 2θ:
d (Å), I/Imax
5.708, 57
3.384, 50
2.911, 100
2.552, 55
2.361, 28
2.181, 54



No. 2
Structure and computed powder diffraction line list of Li3Y2Ag4 (a DFT-relaxed cell (PBE, Alexandria); Cu Kα (weighted mean of Kα1 and Kα2)).
Neutral-atom scattering factors, no anomalous dispersion.

Atomic structure:
```
Li3Y2Ag4
1.0
2.9064 -7.8060 0.0000
2.9064 7.8060 0.0000
0.0000 0.0000 7.9394
Li Y Ag
6 4 8
Cartesian
0.0000 0.0000 0.0000
1.4532 3.4456 1.9848
1.4532 -3.4456 5.9545
2.9064 0.0000 3.9697
4.3597 3.4456 1.9848
4.3597 -3.4456 5.9545
2.9064 6.0715 3.2500
2.9064 1.7344 7.2196
2.9064 -1.7344 0.7197
2.9064 -6.0715 4.6894
2.9064 4.9752 0.2350
1.4532 0.8386 1.9848
1.4532 -0.8386 5.9545
2.9064 2.8307 4.2047
2.9064 -2.8307 3.7347
4.3597 0.8386 1.9848
4.3597 -0.8386 5.9545
2.9064 -4.9752 7.7043
```

Most intense lines, 10 to 90 degrees two-theta, in order of rising 2θ:
d (Å), I/Imax
3.538, 83
3.503, 49
2.599, 100
2.576, 65
2.506, 69
2.345, 93



No. 3
Structure and computed powder diffraction line list of LiY4Ag3 (a DFT-relaxed cell (PBE, Alexandria); Cu Kα (weighted mean of Kα1 and Kα2)).
Neutral-atom scattering factors, no anomalous dispersion.

Atomic structure:
```
LiY4Ag3
1.0
3.6753 0.0000 0.0000
0.0000 5.1454 0.0000
0.0000 0.0000 10.3103
Li Y Ag
1 4 3
Cartesian
0.0000 0.0000 0.0000
1.8377 0.0000 2.6169
1.8377 0.0000 7.6934
1.8377 2.5727 0.0000
1.8377 2.5727 5.1551
0.0000 0.0000 5.1551
0.0000 2.5727 2.5027
0.0000 2.5727 7.8076
```

Most intense lines, 10 to 90 degrees two-theta, in order of rising 2θ:
d (Å), I/Imax
2.587, 100
2.575, 49
1.821, 17
1.496, 17
1.489, 34
1.153, 11



No. 4
Structure and computed powder diffraction line list of Li7YAg4 (a DFT-relaxed cell (PBE, Alexandria); Cu Kα (weighted mean of Kα1 and Kα2)).
Neutral-atom scattering factors, no anomalous dispersion.

Atomic structure:
```
Li7YAg4
1.0
6.7480 -2.4651 0.0000
6.7480 2.4651 0.0000
-5.2487 0.0000 6.7761
Li Y Ag
7 1 4
Cartesian
0.0000 0.0000 0.0000
-0.7882 0.0000 4.3696
3.1297 0.0000 0.8052
2.8739 0.0000 3.9308
5.3734 0.0000 2.8453
5.1176 0.0000 5.9709
9.0355 0.0000 2.4065
6.7480 0.0000 0.0000
-3.2908 0.0000 5.1371
0.7897 0.0000 2.3519
7.4577 0.0000 4.4242
11.5381 0.0000 1.6390
```

Most intense lines, 10 to 90 degrees two-theta, in order of rising 2θ:
d (Å), I/Imax
6.589, 35
4.476, 36
3.314, 34
3.113, 100
2.466, 38
2.248, 36



No. 5
Structure and computed powder diffraction line list of LiZn2Ag2 (a DFT-relaxed cell (PBE, Alexandria); Cu Kα (weighted mean of Kα1 and Kα2)).
Neutral-atom scattering factors, no anomalous dispersion.

Atomic structure:
```
LiZn2Ag2
1.0
4.4237 0.0000 0.0000
-2.2119 3.8311 0.0000
0.0000 0.0000 13.8525
Li Zn Ag
3 6 6
Cartesian
0.0000 0.0000 0.0000
0.0000 2.5540 9.2350
2.2119 1.2770 4.6175
0.0000 0.0000 2.7709
0.0000 0.0000 11.0817
0.0000 2.5540 6.4642
0.0000 2.5540 12.0059
2.2119 1.2770 1.8466
2.2119 1.2770 7.3884
0.0000 0.0000 5.5032
0.0000 0.0000 8.3494
0.0000 2.5540 0.8856
0.0000 2.5540 3.7319
2.2119 1.2770 10.1207
2.2119 1.2770 12.9669
```

Most intense lines, 10 to 90 degrees two-theta, in order of rising 2θ:
d (Å), I/Imax
3.692, 48
2.569, 21
2.245, 100
2.212, 96
1.576, 31
1.283, 30



No. 6
Structure and computed powder diffraction line list of Li15Zn2Ag2 (a DFT-relaxed cell (PBE, Alexandria); Cu Kα (weighted mean of Kα1 and Kα2)).
Neutral-atom scattering factors, no anomalous dispersion.

Atomic structure:
```
Li15Zn2Ag2
1.0
4.1411 2.3909 5.3916
-4.1411 2.3909 5.3916
0.0000 -4.7817 5.3916
Li Zn Ag
15 2 2
Cartesian
-4.1411 0.0000 8.0874
-1.2086 -2.6884 5.3916
-2.0705 1.1954 2.6958
-2.9325 0.2976 5.3916
-1.5446 -0.8918 7.1080
1.2086 -2.6884 5.3916
-1.7240 2.3909 5.3916
0.0000 -1.7835 9.0667
-1.5446 0.8918 9.0667
2.0706 1.1954 2.6958
1.5446 -0.8918 7.1080
0.0000 1.7835 7.1080
2.9325 0.2976 5.3916
1.7239 2.3909 5.3916
1.5446 0.8918 9.0667
0.0000 0.0000 1.5563
0.0000 0.0000 14.6184
0.0000 0.0000 4.6031
0.0000 0.0000 11.5716
```

Most intense lines, 10 to 90 degrees two-theta, in order of rising 2θ:
d (Å), I/Imax
5.370, 39
4.141, 100
2.949, 37
2.402, 30
2.391, 28
2.078, 28



No. 7
Structure and computed powder diffraction line list of Li3Zn6Ag2 (a DFT-relaxed cell (PBE, Alexandria); Cu Kα (weighted mean of Kα1 and Kα2)).
Neutral-atom scattering factors, no anomalous dispersion.

Atomic structure:
```
Li3Zn6Ag2
1.0
5.1039 0.0000 0.0000
0.9692 5.2298 0.0000
0.9760 1.4837 6.5828
Li Zn Ag
3 6 2
Cartesian
0.0000 0.0000 0.0000
2.5269 1.8462 4.2814
4.5223 4.8674 2.3014
1.1897 0.6523 2.2303
2.7440 4.4787 4.6165
2.5581 1.3413 0.0544
4.4910 5.3723 6.5284
4.3051 2.2349 1.9663
5.8594 6.0613 4.3525
1.7847 3.2885 2.0353
5.2645 3.4251 4.5475
```

Most intense lines, 10 to 90 degrees two-theta, in order of rising 2θ:
d (Å), I/Imax
4.193, 91
2.255, 100
2.194, 50
2.142, 41
2.107, 40
2.096, 48



No. 8
Structure and computed powder diffraction line list of LiZn3Ag4 (a DFT-relaxed cell (PBE, Alexandria); Cu Kα (weighted mean of Kα1 and Kα2)).
Neutral-atom scattering factors, no anomalous dispersion.

Atomic structure:
```
LiZn3Ag4
1.0
15.6673 0.0000 0.0000
0.0000 4.1317 0.0000
-1.0841 0.0000 3.9871
Li Zn Ag
2 6 8
Cartesian
0.0000 0.0000 0.0000
7.8336 2.0658 0.0000
-0.5420 2.0658 1.9935
3.6298 0.0000 0.9890
3.1197 2.0658 2.9981
7.2916 0.0000 1.9935
11.4634 2.0658 0.9890
10.9533 0.0000 2.9981
1.2749 0.0000 2.4880
1.8157 2.0658 0.4998
4.9338 0.0000 3.4873
5.4746 2.0658 1.4991
9.6494 0.0000 0.4998
9.1086 2.0658 2.4880
13.3082 0.0000 1.4991
12.7674 2.0658 3.4873
```

Most intense lines, 10 to 90 degrees two-theta, in order of rising 2θ:
d (Å), I/Imax
2.312, 100
2.066, 35
1.890, 13
1.395, 14
1.235, 24
1.157, 15



No. 9
Structure and computed powder diffraction line list of Li6Zn3Ag2 (a DFT-relaxed cell (PBE, Alexandria); Cu Kα (weighted mean of Kα1 and Kα2)).
Neutral-atom scattering factors, no anomalous dispersion.

Atomic structure:
```
Li6Zn3Ag2
1.0
7.1885 0.0000 0.0000
0.0000 2.8256 0.0000
-1.0894 0.0000 9.1251
Li Zn Ag
6 3 2
Cartesian
0.0039 0.0000 2.7750
1.5135 0.0000 5.6130
2.7520 0.0000 1.0748
3.3471 0.0000 8.0504
4.5856 0.0000 3.5121
6.0952 0.0000 6.3502
0.0000 0.0000 0.0000
0.8652 1.4128 7.9014
5.2339 1.4128 1.2237
2.2397 1.4128 3.3582
3.8593 1.4128 5.7669
```

Most intense lines, 10 to 90 degrees two-theta, in order of rising 2θ:
d (Å), I/Imax
5.976, 77
4.069, 45
3.653, 100
2.321, 59
2.236, 43
2.190, 55



No. 10
Structure and computed powder diffraction line list of Li4ZnAg (a DFT-relaxed cell (PBE, Alexandria); Cu Kα (weighted mean of Kα1 and Kα2)).
Neutral-atom scattering factors, no anomalous dispersion.

Atomic structure:
```
Li4ZnAg
1.0
0.0000 3.5926 3.5926
3.5926 0.0000 3.5926
3.5926 3.5926 0.0000
Li Zn Ag
4 1 1
Cartesian
0.8978 0.8978 0.8978
2.6948 2.6948 0.8978
2.6948 0.8978 2.6948
0.8978 2.6948 2.6948
5.3889 5.3889 5.3889
3.5926 3.5926 3.5926
```

Most intense lines, 10 to 90 degrees two-theta, in order of rising 2θ:
d (Å), I/Imax
4.148, 100
2.540, 93
2.166, 71
1.648, 21
1.467, 31
1.383, 21



No. 11
Structure and computed powder diffraction line list of Li6ZnAg10 (a DFT-relaxed cell (PBE, Alexandria); Cu Kα (weighted mean of Kα1 and Kα2)).
Neutral-atom scattering factors, no anomalous dispersion.

Atomic structure:
```
Li6ZnAg10
1.0
7.6386 0.0000 0.0000
-3.8193 6.6152 0.0000
0.0000 0.0000 5.5913
Li Zn Ag
6 1 10
Cartesian
-1.4290 2.4750 1.6604
-2.3903 4.1402 3.9309
2.8579 0.0000 1.6604
1.4290 2.4750 3.9309
4.7807 0.0000 3.9309
2.3903 4.1402 1.6604
0.0000 0.0000 2.7957
-1.0595 1.8350 4.5345
-2.7599 4.7802 1.0568
2.1189 0.0000 4.5345
1.0595 1.8350 1.0568
0.0000 4.4102 0.0000
0.0000 4.4102 2.7957
3.8193 2.2051 0.0000
3.8193 2.2051 2.7957
5.5197 0.0000 1.0568
2.7599 4.7802 4.5345
```

Most intense lines, 10 to 90 degrees two-theta, in order of rising 2θ:
d (Å), I/Imax
3.308, 25
3.154, 90
2.283, 37
2.256, 100
2.205, 67
1.577, 25



No. 12
Structure and computed powder diffraction line list of Li5ZnAg6 (a DFT-relaxed cell (PBE, Alexandria); Cu Kα (weighted mean of Kα1 and Kα2)).
Neutral-atom scattering factors, no anomalous dispersion.

Atomic structure:
```
Li5ZnAg6
1.0
4.5538 -4.4455 0.0000
4.5538 4.4455 0.0000
-1.0476 0.0000 4.9076
Li Zn Ag
5 1 6
Cartesian
0.0000 0.0000 0.0000
4.0299 2.9100 2.4538
4.5538 1.4409 0.0000
4.5538 -1.4409 0.0000
4.0299 -2.9100 2.4538
4.0299 0.0000 2.4538
2.0364 1.4810 1.2106
1.4780 0.0000 3.6449
2.0364 -1.4810 1.2106
6.0235 1.4810 3.6970
6.5819 0.0000 1.2627
6.0235 -1.4810 3.6970
```

Most intense lines, 10 to 90 degrees two-theta, in order of rising 2θ:
d (Å), I/Imax
4.453, 99
2.512, 44
2.454, 21
2.372, 100
2.227, 28
2.041, 42



No. 13
Structure and computed powder diffraction line list of Li4Zn3Ag4 (a DFT-relaxed cell (PBE, Alexandria); Cu Kα (weighted mean of Kα1 and Kα2)).
Neutral-atom scattering factors, no anomalous dispersion.

Atomic structure:
```
Li4Zn3Ag4
1.0
2.9772 0.0000 0.0000
-1.4550 4.6298 0.0000
-0.0137 -0.6218 12.6752
Li Zn Ag
4 3 4
Cartesian
0.0022 0.2241 3.9882
-0.0091 0.6369 12.0413
1.5176 3.3711 0.6339
1.5063 3.7839 8.6870
0.0191 2.8081 2.8292
1.4818 -0.3109 6.3376
1.4894 1.1999 9.8460
0.0091 1.6893 7.5624
0.0145 3.2382 10.9531
1.4940 0.7698 1.7221
1.4994 2.3187 5.1128
```

Most intense lines, 10 to 90 degrees two-theta, in order of rising 2θ:
d (Å), I/Imax
4.225, 34
3.826, 35
2.337, 100
2.270, 45
2.255, 45
2.057, 34